# 1
Structure and simulated X-ray diffraction stick pattern of PrB14W (DFT lattice parameters and positions (GGA-PBE); Cu Kα (λ = 1.5418 Å)).
Neutral-atom scattering factors, no anomalous dispersion.

Cell and atoms:
a = 7.5064 Å, b = 7.5064 Å, c = 7.5064 Å
α = 133.92°, β = 85.11°, γ = 113.06°
Atoms (fractional coordinates):
Pr: 0.3754 0.1254 0.2500
Pr: 0.6246 0.8746 0.7500
B: 0.0140 0.1313 0.8827
B: 0.0269 0.2037 0.3300
B: 0.0269 0.6969 0.8232
B: 0.0883 0.6691 0.4192
B: 0.1984 0.5312 0.6672
B: 0.2234 0.4998 0.4016
B: 0.2234 0.8218 0.7237
B: 0.2502 0.3309 0.9192
B: 0.2513 0.8687 0.3827
B: 0.3640 0.5312 0.8328
B: 0.3737 0.2037 0.6768
B: 0.3737 0.6969 0.1700
B: 0.4019 0.1782 0.9016
B: 0.4019 0.5002 0.2237
B: 0.5981 0.4998 0.7763
B: 0.5981 0.8218 0.0984
B: 0.6263 0.3031 0.8300
B: 0.6263 0.7963 0.3232
B: 0.6360 0.4688 0.1672
B: 0.7487 0.1313 0.6173
B: 0.7498 0.6691 0.0808
B: 0.7766 0.1782 0.2763
B: 0.7766 0.5002 0.5984
B: 0.8016 0.4688 0.3328
B: 0.9117 0.3309 0.5808
B: 0.9731 0.3031 0.1768
B: 0.9731 0.7963 0.6700
B: 0.9860 0.8687 0.1173
W: 0.0000 0.0000 0.5000
W: 0.0000 0.5000 0.0000

Principal peaks in the range 2θ from 15° to 90°, in order of falling intensity:
| 2theta | Rel. int. |
| --- | --- |
| 16.03 | 100 |
| 40.79 | 78 |
| 33.36 | 69 |
| 33.46 | 35 |
| 53.01 | 29 |
| 26.90 | 25 |
| 27.56 | 25 |
| 36.01 | 22 |

=====

# 2
Structure and simulated X-ray diffraction stick pattern of PrYB12 (DFT lattice parameters and positions (GGA-PBE); Cu Kα (λ = 1.5418 Å)).
Neutral-atom scattering factors, no anomalous dispersion.

Cell and atoms:
a = 4.1237 Å, b = 4.1237 Å, c = 8.2481 Å
α = 90.00°, β = 90.00°, γ = 90.00°
Atoms (fractional coordinates):
Pr: 0.0000 0.0000 0.0000
Y: 0.0000 0.0000 0.5000
B: 0.1995 0.5000 0.2519
B: 0.1995 0.5000 0.7481
B: 0.5000 0.1995 0.2519
B: 0.5000 0.1995 0.7481
B: 0.5000 0.5000 0.1005
B: 0.5000 0.5000 0.4012
B: 0.5000 0.5000 0.5988
B: 0.5000 0.5000 0.8995
B: 0.5000 0.8005 0.2519
B: 0.5000 0.8005 0.7481
B: 0.8005 0.5000 0.2519
B: 0.8005 0.5000 0.7481

Principal peaks in the range 2θ from 15° to 90°, in order of falling intensity:
| 2theta | Rel. int. |
| --- | --- |
| 30.66 | 100 |
| 21.55 | 56 |
| 49.42 | 48 |
| 37.79 | 43 |
| 68.23 | 28 |
| 54.51 | 24 |
| 43.91 | 22 |
| 72.48 | 20 |

=====

# 3
Structure and simulated X-ray diffraction stick pattern of BPt4 (DFT lattice parameters and positions (GGA-PBE); Cu Kα (λ = 1.5418 Å)).
Neutral-atom scattering factors, no anomalous dispersion.

Cell and atoms:
a = 5.8119 Å, b = 5.8119 Å, c = 5.8119 Å
α = 103.47°, β = 103.47°, γ = 122.29°
Atoms (fractional coordinates):
B: 0.3750 0.6250 0.7500
B: 0.6250 0.3750 0.2500
Pt: 0.2253 0.7450 0.4803
Pt: 0.2352 0.2550 0.9803
Pt: 0.2550 0.2352 0.4803
Pt: 0.2550 0.7747 0.0197
Pt: 0.7450 0.2253 0.9803
Pt: 0.7450 0.7648 0.5197
Pt: 0.7648 0.7450 0.0197
Pt: 0.7747 0.2550 0.5197

Principal peaks in the range 2θ from 15° to 90°, in order of falling intensity:
| 2theta | Rel. int. |
| --- | --- |
| 40.79 | 100 |
| 35.26 | 71 |
| 67.04 | 45 |
| 50.73 | 25 |
| 77.75 | 15 |
| 88.68 | 11 |
| 88.36 | 10 |
| 85.27 | 9 |

=====

# 4
Structure and simulated X-ray diffraction stick pattern of BPt4 (DFT lattice parameters and positions (GGA-PBE); Cu Kα (λ = 1.5418 Å)).
Neutral-atom scattering factors, no anomalous dispersion.

Cell and atoms:
a = 5.7660 Å, b = 5.7660 Å, c = 5.2049 Å
α = 90.00°, β = 90.00°, γ = 122.39°
Atoms (fractional coordinates):
B: 0.2500 0.7500 0.7500
B: 0.7500 0.2500 0.2500
Pt: 0.0104 0.2512 0.5173
Pt: 0.2488 0.4896 0.0173
Pt: 0.2512 0.0104 0.0173
Pt: 0.4896 0.2488 0.5173
Pt: 0.5104 0.7512 0.4827
Pt: 0.7488 0.9896 0.9827
Pt: 0.7512 0.5104 0.9827
Pt: 0.9896 0.7488 0.4827

Principal peaks in the range 2θ from 15° to 90°, in order of falling intensity:
| 2theta | Rel. int. |
| --- | --- |
| 40.92 | 100 |
| 34.46 | 38 |
| 35.54 | 37 |
| 67.46 | 28 |
| 50.34 | 27 |
| 66.13 | 23 |
| 88.72 | 11 |
| 88.16 | 11 |